# AsP3
Computed XRD peak list, a wavelength of 1.5418 Å. Input: the GGA-PBE geometry in Alexandria.
Kinematic intensities with the Lorentz-polarization factor, no thermal factor.

Structure:
```
AsP3
1.0
2.915 -1.684 0.000
2.915 1.684 0.000
-2.010 0.000 11.361
As P
1 3
direct
0.000 0.000 0.000
0.172 0.172 0.492
0.374 0.374 0.118
0.542 0.542 0.600
```

Principal peaks in the range 10° ≤ 2θ ≤ 90°, sorted by position:
| d (Å) | I_rel |
| --- | --- |
| 5.680 | 100 |
| 2.905 | 10 |
| 2.874 | 23 |
| 2.684 | 23 |
| 2.675 | 13 |
| 2.410 | 14 |
| 2.127 | 14 |
| 1.947 | 12 |
| 1.683 | 16 |
| 1.615 | 11 |

=====

# As5P3
Computed XRD peak list, a wavelength of 1.5418 Å. Input: the GGA-PBE geometry in Alexandria.
Kinematic intensities with the Lorentz-polarization factor, no thermal factor.

Structure:
```
As5P3
1.0
5.684 0.000 0.000
-1.685 8.089 0.000
-2.140 -0.897 9.351
As P
10 6
direct
0.000 0.000 0.000
0.011 0.672 0.696
0.103 0.170 0.365
0.292 0.616 0.266
0.406 0.841 0.472
0.654 0.555 0.804
0.691 0.148 0.929
0.727 0.225 0.595
0.836 0.554 0.148
0.869 0.836 0.495
0.073 0.106 0.600
0.249 0.453 0.463
0.489 0.096 0.366
0.692 0.759 0.001
0.874 0.471 0.493
0.944 0.419 0.949
```

Principal peaks in the range 10° ≤ 2θ ≤ 90°, sorted by position:
| d (Å) | I_rel |
| --- | --- |
| 5.406 | 95 |
| 5.250 | 82 |
| 4.676 | 49 |
| 4.264 | 51 |
| 4.034 | 100 |
| 3.885 | 78 |
| 2.804 | 54 |
| 2.752 | 53 |
| 2.651 | 57 |
| 2.479 | 53 |

=====

# AsP3
Computed XRD peak list, a wavelength of 1.5418 Å. Input: the GGA-PBE geometry in Alexandria.
Kinematic intensities with the Lorentz-polarization factor, no thermal factor.

Structure:
```
AsP3
1.0
1.736 1.002 7.855
-1.736 1.002 7.855
0.000 -2.004 7.855
As P
1 3
direct
0.000 0.000 0.000
0.182 0.182 0.182
0.388 0.388 0.388
0.800 0.800 0.800
```

Principal peaks in the range 10° ≤ 2θ ≤ 90°, sorted by position:
| d (Å) | I_rel |
| --- | --- |
| 7.855 | 54 |
| 3.928 | 39 |
| 2.982 | 36 |
| 2.535 | 100 |
| 1.855 | 32 |
| 1.745 | 15 |
| 1.736 | 32 |
| 1.588 | 16 |
| 1.432 | 16 |
| 1.105 | 14 |

=====

# Pa8As5P3
Computed XRD peak list, a wavelength of 1.5418 Å. Input: the GGA-PBE geometry in Alexandria.
Kinematic intensities with the Lorentz-polarization factor, no thermal factor.

Structure:
```
Pa8As5P3
1.0
4.045 2.336 6.624
-4.045 2.336 6.624
0.000 -4.671 6.624
Pa As P
8 5 3
direct
0.241 0.750 0.750
0.245 0.245 0.245
0.250 0.250 0.759
0.250 0.759 0.250
0.750 0.241 0.750
0.750 0.750 0.241
0.755 0.755 0.755
0.759 0.250 0.250
0.000 0.000 0.000
0.000 0.500 0.500
0.500 0.000 0.500
0.500 0.500 0.000
0.500 0.500 0.500
0.000 0.000 0.500
0.000 0.500 0.000
0.500 0.000 0.000
```

Principal peaks in the range 10° ≤ 2θ ≤ 90°, sorted by position:
| d (Å) | I_rel |
| --- | --- |
| 3.306 | 64 |
| 2.863 | 100 |
| 2.024 | 75 |
| 1.727 | 23 |
| 1.725 | 8 |
| 1.652 | 20 |
| 1.432 | 12 |
| 1.281 | 17 |
| 1.279 | 17 |
| 1.168 | 19 |

=====

# Pa2As2P
Computed XRD peak list, a wavelength of 1.5418 Å. Input: the GGA-PBE geometry in Alexandria.
Kinematic intensities with the Lorentz-polarization factor, no thermal factor.

Structure:
```
Pa2As2P
1.0
-2.008 2.792 6.380
2.008 -2.792 6.380
2.008 2.792 -6.380
Pa As P
2 2 1
direct
0.149 0.149 0.000
0.851 0.851 0.000
0.311 0.811 0.500
0.689 0.189 0.500
0.000 0.500 0.500
```

Principal peaks in the range 10° ≤ 2θ ≤ 90°, sorted by position:
| d (Å) | I_rel |
| --- | --- |
| 6.380 | 41 |
| 5.116 | 63 |
| 3.830 | 47 |
| 3.384 | 25 |
| 3.260 | 25 |
| 2.920 | 100 |
| 2.792 | 50 |
| 2.280 | 46 |
| 2.256 | 24 |
| 2.018 | 70 |

=====

# Pa2AsPRh6
Computed XRD peak list, a wavelength of 1.5418 Å. Input: the GGA-PBE geometry in Alexandria.
Kinematic intensities with the Lorentz-polarization factor, no thermal factor.

Structure:
```
Pa2AsPRh6
1.0
5.484 0.000 0.000
0.000 8.388 0.000
0.000 0.000 7.915
Pa As P Rh
4 2 2 12
direct
0.250 0.016 0.246
0.250 0.484 0.246
0.750 0.516 0.754
0.750 0.984 0.754
0.250 0.250 0.776
0.750 0.750 0.224
0.250 0.750 0.742
0.750 0.250 0.258
0.000 0.250 0.505
0.000 0.750 0.495
0.001 0.250 0.029
0.250 0.501 0.614
0.250 0.999 0.614
0.499 0.250 0.029
0.500 0.250 0.505
0.500 0.750 0.495
0.501 0.750 0.971
0.750 0.001 0.386
0.750 0.499 0.386
0.999 0.750 0.971
```

Principal peaks in the range 10° ≤ 2θ ≤ 90°, sorted by position:
| d (Å) | I_rel |
| --- | --- |
| 7.915 | 23 |
| 3.071 | 77 |
| 2.878 | 100 |
| 2.377 | 32 |
| 2.295 | 97 |
| 2.254 | 86 |
| 2.097 | 53 |
| 2.068 | 79 |
| 1.535 | 47 |
| 1.415 | 23 |

=====

# AsPPb
Computed XRD peak list, a wavelength of 1.5418 Å. Input: the GGA-PBE geometry in Alexandria.
Kinematic intensities with the Lorentz-polarization factor, no thermal factor.

Structure:
```
AsPPb
1.0
-2.488 3.319 5.176
2.488 -3.319 5.176
2.488 3.319 -5.176
As P Pb
2 2 2
direct
0.026 0.250 0.276
0.474 0.750 0.224
0.122 0.872 0.250
0.378 0.628 0.750
0.250 0.151 0.901
0.750 0.349 0.599
```

Principal peaks in the range 10° ≤ 2θ ≤ 90°, sorted by position:
| d (Å) | I_rel |
| --- | --- |
| 5.176 | 32 |
| 4.484 | 60 |
| 3.319 | 44 |
| 3.156 | 100 |
| 2.835 | 34 |
| 2.668 | 59 |
| 2.588 | 24 |
| 2.273 | 39 |
| 2.041 | 36 |
| 1.931 | 25 |

=====

# AsP2Pb2
Computed XRD peak list, a wavelength of 1.5418 Å. Input: the GGA-PBE geometry in Alexandria.
Kinematic intensities with the Lorentz-polarization factor, no thermal factor.

Structure:
```
AsP2Pb2
1.0
7.513 0.000 0.000
0.000 7.513 0.000
0.000 0.000 4.209
As P Pb
2 4 4
direct
0.000 0.000 0.000
0.500 0.500 0.000
0.171 0.329 0.000
0.329 0.829 0.000
0.671 0.171 0.000
0.829 0.671 0.000
0.153 0.653 0.500
0.347 0.153 0.500
0.653 0.847 0.500
0.847 0.347 0.500
```

Principal peaks in the range 10° ≤ 2θ ≤ 90°, sorted by position:
| d (Å) | I_rel |
| --- | --- |
| 4.209 | 21 |
| 3.360 | 52 |
| 3.299 | 27 |
| 2.803 | 16 |
| 2.626 | 100 |
| 2.376 | 32 |
| 2.104 | 15 |
| 1.783 | 19 |
| 1.575 | 18 |
| 1.324 | 17 |